Diffraction record for Nb14AgO36. The X-ray diffraction stick pattern is calculated, not measured: it uses DFT lattice parameters and positions (PBE) and Cu Kα, 1.54184 Å.
Kinematic intensities with the Lorentz-polarization factor, no thermal factor.

Crystal structure
Cell: 15.3256 15.3256 15.3256 Å, 165.81 122.18 59.87°
Element x y z (fractional)
Nb: 0.0158 0.2064 0.8094
Nb: 0.1036 0.1036 0.0000
Nb: 0.1819 0.0000 0.1819
Nb: 0.2723 0.8973 0.3750
Nb: 0.3106 0.3106 0.0000
Nb: 0.3970 0.2064 0.1906
Nb: 0.4777 0.1027 0.3750
Nb: 0.5223 0.8973 0.6250
Nb: 0.6030 0.7936 0.8094
Nb: 0.6894 0.6894 0.0000
Nb: 0.7277 0.1027 0.6250
Nb: 0.8181 0.0000 0.8181
Nb: 0.8964 0.8964 0.0000
Nb: 0.9842 0.7936 0.1906
Ag: 0.5000 0.5000 0.0000
O: 0.0201 0.7266 0.2935
O: 0.0427 0.9455 0.0972
O: 0.0616 0.1611 0.9004
O: 0.1203 0.6203 0.5000
O: 0.1331 0.8405 0.2925
O: 0.1518 0.0545 0.0972
O: 0.1714 0.2683 0.9031
O: 0.2121 0.5000 0.7121
O: 0.2441 0.9482 0.2960
O: 0.2607 0.1611 0.0996
O: 0.2933 0.3849 0.9084
O: 0.3359 0.8359 0.5000
O: 0.3478 0.0518 0.2960
O: 0.3652 0.2683 0.0969
O: 0.4331 0.7266 0.7065
O: 0.4468 0.9468 0.5000
O: 0.4520 0.1595 0.2925
O: 0.4765 0.3849 0.0916
O: 0.5235 0.6151 0.9084
O: 0.5480 0.8405 0.7075
O: 0.5532 0.0532 0.5000
O: 0.5669 0.2734 0.2935
O: 0.6348 0.7317 0.9031
O: 0.6522 0.9482 0.7040
O: 0.6641 0.1641 0.5000
O: 0.7067 0.6151 0.0916
O: 0.7393 0.8389 0.9004
O: 0.7559 0.0518 0.7040
O: 0.7879 0.5000 0.2879
O: 0.8286 0.7317 0.0969
O: 0.8482 0.9455 0.9028
O: 0.8669 0.1595 0.7075
O: 0.8797 0.3797 0.5000
O: 0.9384 0.8389 0.0996
O: 0.9573 0.0545 0.9028
O: 0.9799 0.2734 0.7065

Peak list (10 most intense, 15 to 90 degrees two-theta, low angle first)
17.9°, rel. 20.6
23.7°, rel. 28.8
24.6°, rel. 100.0
31.4°, rel. 38.9
33.7°, rel. 14.7
43.3°, rel. 18.7
48.1°, rel. 16.6
52.2°, rel. 26.5
54.7°, rel. 20.4
58.1°, rel. 17.6